# 1
For Li9MgNi12O26, DFT lattice parameters and positions (PBE+U) gives the theoretical X-ray powder pattern in this record (λ = 1.5418 Å (Cu Kα)).
No peak broadening, texture or thermal motion is included.

Main lines, sorted by position (10° ≤ 2θ ≤ 90°):
2theta, I (rel.)
18.4, 100.0
36.0, 13.5
36.9, 11.8
37.2, 15.9
43.4, 20.9
44.4, 19.5
44.8, 18.9
48.3, 11.4
63.4, 5.3
63.5, 5.2
64.3, 5.4
64.7, 5.3

Cell and atoms:
```
Li9MgNi12O26
1.0
7.552 0.000 0.000
0.297 7.724 0.000
2.053 1.855 7.675
Li Mg Ni O
9 1 12 26
Direct
0.000 0.000 0.000
0.064 0.382 0.374
0.139 0.759 0.763
0.227 0.156 0.148
0.293 0.533 0.531
0.530 0.700 0.689
0.611 0.086 0.085
0.685 0.444 0.445
0.750 0.843 0.841
0.227 0.147 0.649
0.071 0.380 0.879
0.146 0.761 0.264
0.304 0.538 0.026
0.377 0.918 0.419
0.458 0.300 0.805
0.528 0.695 0.181
0.608 0.079 0.568
0.687 0.453 0.959
0.759 0.844 0.342
0.843 0.224 0.724
0.914 0.612 0.111
0.990 0.990 0.494
0.062 0.364 0.651
0.089 0.395 0.104
0.131 0.756 0.036
0.164 0.770 0.491
0.215 0.115 0.407
0.220 0.181 0.894
0.286 0.527 0.795
0.295 0.560 0.264
0.370 0.899 0.192
0.391 0.932 0.642
0.466 0.287 0.575
0.470 0.314 0.029
0.527 0.669 0.938
0.530 0.715 0.432
0.589 0.062 0.346
0.628 0.082 0.796
0.682 0.494 0.191
0.690 0.424 0.725
0.747 0.842 0.112
0.756 0.872 0.570
0.829 0.218 0.498
0.857 0.233 0.950
0.912 0.587 0.883
0.928 0.621 0.337
0.983 0.007 0.730
0.996 0.963 0.262
```

# 2
For Li2CrFeO4, DFT lattice parameters and positions (PBE+U) gives the theoretical X-ray powder pattern in this record (λ = 1.5418 Å (Cu Kα)).
No peak broadening, texture or thermal motion is included.

Main lines, sorted by position (10° ≤ 2θ ≤ 90°):
2theta, I (rel.)
18.2, 100.0
35.3, 13.4
35.4, 27.7
36.9, 12.6
42.8, 26.9
43.0, 53.1
46.9, 8.6
56.8, 9.3
62.1, 14.1
62.4, 21.7
62.5, 7.3
65.7, 9.2

Cell and atoms:
```
Li2CrFeO4
1.0
9.798 -1.486 0.000
9.798 1.486 0.000
-0.489 0.000 5.136
Li Cr Fe O
4 2 2 8
Direct
0.000 0.000 0.000
0.249 0.249 0.744
0.500 0.500 0.500
0.751 0.751 0.256
0.374 0.374 0.126
0.626 0.626 0.874
0.126 0.126 0.374
0.874 0.874 0.626
0.068 0.068 0.687
0.180 0.180 0.058
0.319 0.319 0.438
0.432 0.432 0.815
0.568 0.568 0.185
0.681 0.681 0.562
0.820 0.820 0.942
0.932 0.932 0.313
```

# 3
For TiMn3Fe2P6O24, DFT lattice parameters and positions (PBE+U) gives the theoretical X-ray powder pattern in this record (λ = 1.5418 Å (Cu Kα)).
No peak broadening, texture or thermal motion is included.

Main lines, sorted by position (10° ≤ 2θ ≤ 90°):
2theta, I (rel.)
20.5, 75.8
24.2, 100.0
25.2, 16.0
31.8, 15.3
33.2, 66.6
35.8, 37.7
47.6, 28.3
49.7, 26.1
56.0, 22.1
56.8, 13.6
62.7, 20.3
75.9, 9.9

Cell and atoms:
```
TiMn3Fe2P6O24
1.0
4.343 2.507 6.874
-4.343 2.507 6.874
0.000 -5.014 6.874
Ti Mn Fe P O
1 3 2 6 24
Direct
0.000 0.000 0.000
0.211 0.211 0.211
0.496 0.496 0.496
0.705 0.705 0.705
0.353 0.353 0.353
0.852 0.852 0.852
0.104 0.401 0.813
0.302 0.898 0.603
0.401 0.813 0.104
0.603 0.302 0.898
0.813 0.104 0.401
0.898 0.603 0.302
0.028 0.240 0.866
0.098 0.446 0.284
0.100 0.916 0.765
0.171 0.361 0.969
0.240 0.866 0.028
0.256 0.406 0.616
0.284 0.098 0.446
0.335 0.743 0.539
0.361 0.969 0.171
0.406 0.616 0.256
0.446 0.284 0.098
0.454 0.867 0.669
0.539 0.335 0.743
0.600 0.799 0.946
0.616 0.256 0.406
0.669 0.454 0.867
0.743 0.539 0.335
0.765 0.100 0.916
0.799 0.946 0.600
0.866 0.028 0.240
0.867 0.669 0.454
0.916 0.765 0.100
0.946 0.600 0.799
0.969 0.171 0.361
```

# 4
For MgFe6Sb10I6O18, DFT lattice parameters and positions (PBE+U) gives the theoretical X-ray powder pattern in this record (λ = 1.5418 Å (Cu Kα)).
No peak broadening, texture or thermal motion is included.

Main lines, sorted by position (10° ≤ 2θ ≤ 90°):
2theta, I (rel.)
19.5, 96.7
20.5, 27.2
24.2, 47.2
26.6, 99.3
27.8, 65.5
28.2, 57.6
28.7, 26.3
29.8, 100.0
31.8, 49.2
34.6, 53.7
34.8, 42.0
37.1, 35.0

Cell and atoms:
```
MgFe6Sb10I6O18
1.0
8.078 0.000 0.000
2.960 9.234 0.000
0.743 2.343 12.384
Mg Fe Sb I O
1 6 10 6 18
Direct
0.000 0.000 0.000
0.069 0.461 0.322
0.123 0.388 0.570
0.363 0.413 0.103
0.482 0.337 0.392
0.716 0.501 0.506
0.820 0.403 0.795
0.019 0.569 0.942
0.212 0.190 0.954
0.291 0.674 0.439
0.304 0.126 0.254
0.360 0.554 0.709
0.566 0.211 0.686
0.621 0.617 0.207
0.835 0.280 0.189
0.900 0.709 0.649
0.906 0.164 0.459
0.000 0.077 0.763
0.187 0.741 0.142
0.373 0.071 0.519
0.606 0.694 0.844
0.661 0.036 0.052
0.816 0.755 0.377
0.046 0.633 0.783
0.056 0.173 0.304
0.145 0.664 0.585
0.233 0.244 0.103
0.241 0.483 0.431
0.270 0.486 0.956
0.320 0.325 0.268
0.325 0.365 0.667
0.475 0.601 0.557
0.539 0.546 0.356
0.588 0.445 0.149
0.609 0.374 0.745
0.659 0.280 0.536
0.729 0.228 0.336
0.872 0.470 0.223
0.891 0.505 0.640
0.952 0.357 0.463
0.984 0.372 0.920
```

# 5
For Na2ZrMo2O10, DFT lattice parameters and positions (PBE+U) gives the theoretical X-ray powder pattern in this record (λ = 1.5418 Å (Cu Kα)).
No peak broadening, texture or thermal motion is included.

Main lines, sorted by position (10° ≤ 2θ ≤ 90°):
2theta, I (rel.)
18.0, 18.4
21.9, 23.8
28.2, 84.5
31.0, 100.0
31.7, 20.3
35.8, 25.5
44.9, 21.4
48.7, 31.6
50.8, 34.2
52.2, 21.8
53.5, 17.0
59.2, 15.2

Cell and atoms:
```
Na2ZrMo2O10
1.0
10.135 -2.538 0.000
10.135 2.538 0.000
-0.327 0.000 3.502
Na Zr Mo O
2 1 2 10
Direct
0.188 0.188 0.077
0.812 0.812 0.923
0.000 0.000 0.000
0.410 0.410 0.411
0.590 0.590 0.589
0.169 0.462 0.412
0.175 0.650 0.955
0.260 0.740 0.500
0.350 0.825 0.045
0.462 0.169 0.412
0.538 0.831 0.588
0.650 0.175 0.955
0.740 0.260 0.500
0.825 0.350 0.045
0.831 0.538 0.588
```

# 6
For Li4FeW3O12, DFT lattice parameters and positions (PBE+U) gives the theoretical X-ray powder pattern in this record (λ = 1.5418 Å (Cu Kα)).
No peak broadening, texture or thermal motion is included.

Main lines, sorted by position (10° ≤ 2θ ≤ 90°):
2theta, I (rel.)
23.7, 100.0
32.8, 26.4
32.9, 13.0
34.5, 18.8
34.7, 9.2
42.3, 10.4
48.3, 6.1
48.5, 12.0
53.3, 13.1
53.4, 8.9
55.7, 9.0
60.8, 7.3

Cell and atoms:
```
Li4FeW3O12
1.0
5.188 0.000 0.000
-0.011 5.485 0.000
-0.033 -0.555 7.509
Li Fe W O
4 1 3 12
Direct
0.000 0.000 0.000
0.005 0.954 0.558
0.496 0.531 0.999
0.501 0.528 0.530
0.503 0.955 0.801
0.006 0.445 0.796
0.500 0.951 0.301
0.999 0.446 0.296
0.119 0.438 0.548
0.189 0.124 0.241
0.196 0.736 0.865
0.299 0.254 0.865
0.321 0.631 0.244
0.384 0.928 0.545
0.621 0.934 0.062
0.684 0.253 0.369
0.701 0.628 0.750
0.806 0.756 0.371
0.824 0.137 0.754
0.881 0.443 0.054
```

# 7
For BaMg14NiO16, DFT lattice parameters and positions (PBE+U) gives the theoretical X-ray powder pattern in this record (λ = 1.5418 Å (Cu Kα)).
No peak broadening, texture or thermal motion is included.

Main lines, sorted by position (10° ≤ 2θ ≤ 90°):
2theta, I (rel.)
14.3, 35.0
20.3, 22.4
24.5, 25.8
28.5, 19.2
32.4, 16.1
35.3, 42.8
38.3, 17.0
40.1, 57.3
41.4, 100.0
59.0, 61.8
59.9, 28.1
74.6, 27.0

Cell and atoms:
```
BaMg14NiO16
1.0
8.732 0.000 0.000
0.000 8.732 0.000
0.000 0.000 4.493
Ba Mg Ni O
1 14 1 16
Direct
0.000 0.000 0.000
0.000 0.265 0.500
0.000 0.500 0.000
0.000 0.735 0.500
0.254 0.500 0.500
0.260 0.260 0.000
0.260 0.740 0.000
0.265 0.000 0.500
0.500 0.000 0.000
0.500 0.254 0.500
0.500 0.746 0.500
0.735 0.000 0.500
0.740 0.260 0.000
0.740 0.740 0.000
0.746 0.500 0.500
0.500 0.500 0.000
0.000 0.000 0.500
0.000 0.281 0.000
0.000 0.500 0.500
0.000 0.719 0.000
0.252 0.252 0.500
0.252 0.748 0.500
0.257 0.500 0.000
0.281 0.000 0.000
0.500 0.000 0.500
0.500 0.257 0.000
0.500 0.500 0.500
0.500 0.743 0.000
0.719 0.000 0.000
0.743 0.500 0.000
0.748 0.252 0.500
0.748 0.748 0.500
```